The following is a computed X-ray powder pattern of La5Pr4Dy4. It was derived from a GGA-PBE-relaxed structure, using Cu Kα (λ = 1.5418 Å).
Intensities are scaled so that the largest is 1000.

Cell and atoms:
Cell lengths 16.9198, 5.9363, 10.2212 Å; angles 90.00, 116.49, 90.00 degrees
Space group C2/m (No. 12)
Unique sites:
La: 0.0000 0.0000 0.0000
La: 0.0225 0.5000 0.8098
La: 0.1937 0.5000 0.2317
Pr: 0.0913 0.0000 0.7126
Pr: 0.1382 0.5000 0.5501
Dy: 0.1379 0.0000 0.3776
Dy: 0.2485 0.0000 0.0848

Main lines, sorted by position (2θ from 10° to 80°):
| two_theta | I_rel | (hkl) |
| --- | --- | --- |
| 29.28 | 253 | 4 0 1 |
| 30.11 | 298 | 0 2 0 |
| 31.09 | 1000 | 1 1 -3 |
| 42.49 | 184 | 4 2 1 |
| 46.53 | 87 | 6 0 -5 |
| 53.07 | 135 | 3 1 4 |
| 54.09 | 210 | 1 3 -3 |
| 55.93 | 72 | 2 0 -6 |
| 56.43 | 88 | 6 2 -5 |
| 64.83 | 92 | 2 2 -6 |